This entry pairs a crystal structure of KHo2CuMo4O16 with its computed powder diffraction line list. Radiation: Cu Ka. Structure: the GGA+U geometry in Alexandria.
Neutral-atom scattering factors, no anomalous dispersion.

Most intense lines, 15 to 90 degrees two-theta, by angle:
Position (°2θ), d (Å), Rel. int.
27.9, 3.196, 100
28.1, 3.181, 59
29.0, 3.082, 48
29.6, 3.019, 66
30.2, 2.962, 68
34.0, 2.634, 56

Crystal structure
```
KHo2CuMo4O16
1.0
2.642 -6.351 0.000
2.642 6.351 0.000
-1.670 0.000 19.813
K Ho Cu Mo O
2 4 2 8 32
Direct
0.030 0.970 0.750
0.970 0.030 0.250
0.145 0.852 0.530
0.148 0.855 0.970
0.852 0.145 0.030
0.855 0.148 0.470
0.312 0.688 0.750
0.688 0.312 0.250
0.238 0.726 0.356
0.274 0.762 0.144
0.411 0.536 0.909
0.464 0.589 0.591
0.536 0.411 0.409
0.589 0.464 0.091
0.726 0.238 0.856
0.762 0.274 0.644
0.021 0.754 0.166
0.047 0.571 0.434
0.060 0.472 0.287
0.098 0.407 0.128
0.165 0.500 0.961
0.216 0.258 0.538
0.220 0.322 0.401
0.246 0.979 0.334
0.258 0.216 0.038
0.322 0.220 0.901
0.322 0.501 0.671
0.407 0.098 0.628
0.429 0.953 0.066
0.472 0.060 0.787
0.499 0.678 0.829
0.500 0.165 0.461
0.500 0.835 0.539
0.501 0.322 0.171
0.528 0.940 0.213
0.571 0.047 0.934
0.593 0.902 0.372
0.678 0.499 0.329
0.678 0.780 0.099
0.742 0.784 0.962
0.754 0.021 0.666
0.780 0.678 0.599
0.784 0.742 0.462
0.835 0.500 0.039
0.902 0.593 0.872
0.940 0.528 0.713
0.953 0.429 0.566
0.979 0.246 0.834
```